The following is a theoretical X-ray diffraction stick pattern of Tl4SF3. It was derived from a cell relaxed with PBE, using Cu Kα.

Principal peaks in the range 10° ≤ 2θ ≤ 80°, low angle first:
(2 1 1), 2θ = 26.46°, I 100; (0 2 0), 2θ = 28.96°, I 29; (4 0 0), 2θ = 29.45°, I 29; (0 0 2), 2θ = 33.37°, I 22; (4 2 0), 2θ = 41.78°, I 21; (0 2 2), 2θ = 44.76°, I 18; (4 0 2), 2θ = 45.09°, I 18; (2 3 1), 2θ = 49.82°, I 21; (6 1 1), 2θ = 50.44°, I 17; (4 2 2), 2θ = 54.49°, I 19

Cell and atoms:
```
data_Tl4SF3
_symmetry_space_group_name_H-M 'P 1'
_symmetry_Int_Tables_number 1
_symmetry_space_group_name_Hall 'P 1'
_cell_length_a 12.133
_cell_length_b 6.166
_cell_length_c 5.370
_cell_angle_alpha 90.00
_cell_angle_beta 90.00
_cell_angle_gamma 90.00
loop_
_atom_site_label
_atom_site_type_symbol
_atom_site_fract_x
_atom_site_fract_y
_atom_site_fract_z
Tl1 Tl 0.000 0.234 0.000
Tl2 Tl 0.000 0.752 0.500
Tl3 Tl 0.238 0.257 0.500
Tl4 Tl 0.262 0.743 0.000
Tl5 Tl 0.500 0.248 0.000
Tl6 Tl 0.500 0.766 0.500
Tl7 Tl 0.738 0.743 0.000
Tl8 Tl 0.762 0.257 0.500
S1 S 0.000 0.733 0.000
S2 S 0.500 0.267 0.500
F1 F 0.000 0.160 0.499
F2 F 0.225 0.668 0.501
F3 F 0.275 0.332 0.001
F4 F 0.500 0.840 0.999
F5 F 0.725 0.332 0.001
F6 F 0.775 0.668 0.501
```